# 1
AcNbRh: simulated powder XRD pattern (Cu Kα, 1.54184 Å), based on DFT lattice parameters and positions (PBE).
Lines closer than 0.1° are merged.

The 10 most intense peaks (10° ≤ 2θ ≤ 90°), in order of rising 2θ:
| 2theta | d [Å] | I/Imax |
| --- | --- | --- |
| 24.31 | 3.661 | 14.5 |
| 24.59 | 3.620 | 13.4 |
| 29.55 | 3.022 | 19.8 |
| 34.85 | 2.574 | 100.0 |
| 35.06 | 2.560 | 64.8 |
| 43.12 | 2.098 | 13.4 |
| 50.42 | 1.810 | 23.2 |
| 56.31 | 1.634 | 14.9 |
| 62.76 | 1.481 | 36.7 |
| 78.94 | 1.213 | 11.3 |

Structure:
Unit cell a=3.620 b=3.620 c=10.984 alpha=90.00 beta=90.00 gamma=90.00
Element x y z (fractional)
Ac1 0.000 0.000 0.167
Ac2 0.000 0.000 0.833
Nb1 0.500 0.500 0.393
Nb2 0.500 0.500 0.607
Rh1 0.000 0.000 0.500
Rh2 0.500 0.500 0.000


# 2
CeTlInI6: simulated powder XRD pattern (Cu Kα, 1.54184 Å), based on DFT lattice parameters and positions (PBE).
Lines closer than 0.1° are merged.

The 10 most intense peaks (10° ≤ 2θ ≤ 90°), in order of rising 2θ:
| 2theta | d [Å] | I/Imax |
| --- | --- | --- |
| 15.91 | 5.570 | 85.0 |
| 24.26 | 3.669 | 100.0 |
| 25.28 | 3.523 | 31.7 |
| 31.32 | 2.856 | 89.5 |
| 32.14 | 2.785 | 48.5 |
| 36.85 | 2.439 | 23.7 |
| 38.96 | 2.312 | 64.4 |
| 49.69 | 1.835 | 25.7 |
| 62.94 | 1.477 | 21.7 |
| 66.77 | 1.401 | 22.6 |

Structure:
Unit cell a=7.877 b=7.877 c=14.634 alpha=90.00 beta=90.00 gamma=90.00
Element x y z (fractional)
Ce1 0.000 0.000 0.000
Ce2 0.500 0.500 0.500
Tl1 0.000 0.000 0.667
Tl2 0.500 0.500 0.167
In1 0.000 0.000 0.334
In2 0.500 0.500 0.834
I1 0.184 0.184 0.155
I2 0.192 0.192 0.852
I3 0.227 0.227 0.497
I4 0.273 0.727 0.997
I5 0.308 0.692 0.352
I6 0.316 0.684 0.655
I7 0.684 0.316 0.655
I8 0.692 0.308 0.352
I9 0.727 0.273 0.997
I10 0.773 0.773 0.497
I11 0.808 0.808 0.852
I12 0.816 0.816 0.155


# 3
CaPmPb: simulated powder XRD pattern (Cu Kα, 1.54184 Å), based on DFT lattice parameters and positions (PBE).
Lines closer than 0.1° are merged.

The 10 most intense peaks (10° ≤ 2θ ≤ 90°), in order of rising 2θ:
| 2theta | d [Å] | I/Imax |
| --- | --- | --- |
| 18.35 | 4.835 | 42.5 |
| 25.78 | 3.456 | 35.2 |
| 31.83 | 2.812 | 62.6 |
| 32.06 | 2.792 | 100.0 |
| 41.59 | 2.172 | 61.6 |
| 45.80 | 1.981 | 22.7 |
| 57.00 | 1.616 | 23.6 |
| 57.15 | 1.612 | 19.4 |
| 63.30 | 1.469 | 28.5 |
| 63.71 | 1.461 | 18.1 |

Structure:
Unit cell a=5.583 b=5.583 c=6.912 alpha=90.00 beta=90.00 gamma=120.00
Element x y z (fractional)
Ca1 0.000 0.000 0.000
Ca2 0.000 0.000 0.500
Pm1 0.333 0.667 0.250
Pm2 0.667 0.333 0.750
Pb1 0.333 0.667 0.750
Pb2 0.667 0.333 0.250


# 4
LiB6N6: simulated powder XRD pattern (Cu Kα, 1.54184 Å), based on DFT lattice parameters and positions (PBE).
Lines closer than 0.1° are merged.

The 10 most intense peaks (10° ≤ 2θ ≤ 90°), in order of rising 2θ:
| 2theta | d [Å] | I/Imax |
| --- | --- | --- |
| 19.69 | 4.508 | 2.5 |
| 27.99 | 3.187 | 100.0 |
| 40.00 | 2.254 | 23.1 |
| 44.97 | 2.016 | 13.3 |
| 49.53 | 1.840 | 41.5 |
| 57.86 | 1.594 | 6.3 |
| 65.48 | 1.425 | 7.8 |
| 72.66 | 1.301 | 20.4 |
| 79.57 | 1.205 | 15.3 |
| 86.33 | 1.127 | 11.6 |

Structure:
Unit cell a=4.508 b=4.508 c=4.508 alpha=90.00 beta=90.00 gamma=90.00
Element x y z (fractional)
Li1 0.000 0.000 0.000
B1 0.000 0.246 0.500
B2 0.000 0.754 0.500
B3 0.246 0.500 0.000
B4 0.500 0.000 0.246
B5 0.500 0.000 0.754
B6 0.754 0.500 0.000
N1 0.000 0.500 0.250
N2 0.000 0.500 0.750
N3 0.250 0.000 0.500
N4 0.500 0.250 0.000
N5 0.500 0.750 0.000
N6 0.750 0.000 0.500


# 5
KAl11O17: simulated powder XRD pattern (Cu Kα, 1.54184 Å), based on DFT lattice parameters and positions (PBE).
Lines closer than 0.1° are merged.

The 10 most intense peaks (10° ≤ 2θ ≤ 90°), in order of rising 2θ:
| 2theta | d [Å] | I/Imax |
| --- | --- | --- |
| 15.44 | 5.740 | 65.4 |
| 19.72 | 4.502 | 59.7 |
| 31.67 | 2.826 | 44.1 |
| 32.87 | 2.725 | 100.0 |
| 35.41 | 2.535 | 77.5 |
| 41.83 | 2.159 | 48.6 |
| 43.92 | 2.062 | 49.0 |
| 57.17 | 1.611 | 42.3 |
| 66.14 | 1.413 | 76.3 |
| 68.93 | 1.362 | 36.1 |

Structure:
Unit cell a=5.651 b=5.651 c=22.960 alpha=90.00 beta=90.00 gamma=120.00
Element x y z (fractional)
K1 0.333 0.667 0.250
K2 0.667 0.333 0.750
Al1 0.000 0.000 0.000
Al2 0.000 0.000 0.500
Al3 0.167 0.335 0.106
Al4 0.167 0.335 0.394
Al5 0.167 0.833 0.106
Al6 0.167 0.833 0.394
Al7 0.333 0.667 0.525
Al8 0.333 0.667 0.675
Al9 0.333 0.667 0.825
Al10 0.333 0.667 0.975
Al11 0.335 0.167 0.606
Al12 0.335 0.167 0.894
Al13 0.665 0.833 0.106
Al14 0.665 0.833 0.394
Al15 0.667 0.333 0.025
Al16 0.667 0.333 0.175
Al17 0.667 0.333 0.325
Al18 0.667 0.333 0.475
Al19 0.833 0.167 0.606
Al20 0.833 0.167 0.894
Al21 0.833 0.665 0.606
Al22 0.833 0.665 0.894
O1 0.000 0.000 0.140
O2 0.000 0.000 0.360
O3 0.000 0.000 0.640
O4 0.000 0.000 0.860
O5 0.005 0.502 0.145
O6 0.005 0.502 0.355
O7 0.157 0.314 0.549
O8 0.157 0.314 0.951
O9 0.157 0.843 0.549
O10 0.157 0.843 0.951
O11 0.314 0.157 0.049
O12 0.314 0.157 0.451
O13 0.333 0.667 0.055
O14 0.333 0.667 0.445
O15 0.333 0.667 0.750
O16 0.498 0.502 0.145
O17 0.498 0.502 0.355
O18 0.498 0.995 0.145
O19 0.498 0.995 0.355
O20 0.502 0.005 0.645
O21 0.502 0.005 0.855
O22 0.502 0.498 0.645
O23 0.502 0.498 0.855
O24 0.667 0.333 0.250
O25 0.667 0.333 0.555
O26 0.667 0.333 0.945
O27 0.686 0.843 0.549
O28 0.686 0.843 0.951
O29 0.843 0.157 0.049
O30 0.843 0.157 0.451
O31 0.843 0.686 0.049
O32 0.843 0.686 0.451
O33 0.995 0.498 0.645
O34 0.995 0.498 0.855


# 6
Li4HgBi2: simulated powder XRD pattern (Cu Kα, 1.54184 Å), based on DFT lattice parameters and positions (PBE).
Lines closer than 0.1° are merged.

The 10 most intense peaks (10° ≤ 2θ ≤ 90°), in order of rising 2θ:
| 2theta | d [Å] | I/Imax |
| --- | --- | --- |
| 12.57 | 7.042 | 48.3 |
| 19.00 | 4.672 | 77.0 |
| 22.72 | 3.913 | 92.5 |
| 27.45 | 3.249 | 64.6 |
| 27.90 | 3.198 | 35.7 |
| 29.65 | 3.013 | 100.0 |
| 30.72 | 2.911 | 78.4 |
| 37.48 | 2.399 | 86.4 |
| 37.78 | 2.381 | 50.1 |
| 38.54 | 2.336 | 41.1 |

Structure:
Unit cell a=7.043 b=5.821 c=7.832 alpha=90.00 beta=90.66 gamma=90.00
Element x y z (fractional)
Li1 0.140 0.250 0.115
Li2 0.192 0.000 0.541
Li3 0.192 0.500 0.541
Li4 0.319 0.750 0.931
Li5 0.681 0.250 0.069
Li6 0.808 0.000 0.459
Li7 0.808 0.500 0.459
Li8 0.860 0.750 0.885
Hg1 0.457 0.250 0.358
Hg2 0.543 0.750 0.642
Bi1 0.082 0.750 0.233
Bi2 0.397 0.250 0.795
Bi3 0.603 0.750 0.205
Bi4 0.918 0.250 0.767


# 7
TbDy12Ho2: simulated powder XRD pattern (Cu Kα, 1.54184 Å), based on DFT lattice parameters and positions (PBE).
Lines closer than 0.1° are merged.

The 10 most intense peaks (10° ≤ 2θ ≤ 90°), in order of rising 2θ:
| 2theta | d [Å] | I/Imax |
| --- | --- | --- |
| 30.48 | 2.933 | 100.0 |
| 31.38 | 2.851 | 48.7 |
| 32.25 | 2.775 | 69.6 |
| 32.49 | 2.756 | 39.0 |
| 32.70 | 2.739 | 66.6 |
| 33.76 | 2.655 | 39.0 |
| 46.43 | 1.956 | 28.5 |
| 51.68 | 1.769 | 18.8 |
| 61.19 | 1.515 | 20.0 |
| 62.24 | 1.492 | 21.3 |

Structure:
Unit cell a=6.582 b=6.582 c=24.247 alpha=92.27 beta=92.27 gamma=114.98
Element x y z (fractional)
Tb1 0.249 0.249 0.496
Tb2 0.751 0.751 0.504
Dy1 0.056 0.541 0.701
Dy2 0.073 0.589 0.830
Dy3 0.132 0.645 0.055
Dy4 0.151 0.151 0.069
Dy5 0.215 0.215 0.358
Dy6 0.233 0.732 0.426
Dy7 0.268 0.767 0.574
Dy8 0.282 0.282 0.633
Dy9 0.355 0.868 0.945
Dy10 0.358 0.358 0.918
Dy11 0.411 0.927 0.170
Dy12 0.459 0.944 0.299
Dy13 0.541 0.056 0.701
Dy14 0.589 0.073 0.830
Dy15 0.642 0.642 0.082
Dy16 0.645 0.132 0.055
Dy17 0.718 0.718 0.367
Dy18 0.732 0.233 0.426
Dy19 0.767 0.268 0.574
Dy20 0.785 0.785 0.642
Dy21 0.849 0.849 0.931
Dy22 0.868 0.355 0.945
Dy23 0.927 0.411 0.170
Dy24 0.944 0.459 0.299
Ho1 0.074 0.074 0.772
Ho2 0.441 0.441 0.229
Ho3 0.559 0.559 0.771
Ho4 0.926 0.926 0.228


# 8
ThAl11: simulated powder XRD pattern (Cu Kα, 1.54184 Å), based on DFT lattice parameters and positions (PBE).
Lines closer than 0.1° are merged.

The 10 most intense peaks (10° ≤ 2θ ≤ 90°), in order of rising 2θ:
| 2theta | d [Å] | I/Imax |
| --- | --- | --- |
| 14.74 | 6.008 | 46.5 |
| 16.13 | 5.495 | 35.6 |
| 21.92 | 4.055 | 51.5 |
| 22.89 | 3.886 | 22.4 |
| 27.37 | 3.259 | 58.6 |
| 31.90 | 2.806 | 43.7 |
| 35.97 | 2.497 | 100.0 |
| 36.56 | 2.458 | 47.0 |
| 55.03 | 1.669 | 25.5 |
| 65.44 | 1.426 | 23.5 |

Structure:
Unit cell a=8.560 b=8.560 c=8.560 alpha=100.12 beta=100.12 gamma=130.44
Element x y z (fractional)
Th1 0.375 0.625 0.750
Th2 0.625 0.375 0.250
Al1 0.000 0.000 0.000
Al2 0.000 0.000 0.500
Al3 0.000 0.500 0.000
Al4 0.125 0.875 0.250
Al5 0.134 0.556 0.334
Al6 0.134 0.799 0.577
Al7 0.201 0.278 0.334
Al8 0.201 0.866 0.923
Al9 0.278 0.201 0.834
Al10 0.278 0.444 0.077
Al11 0.444 0.278 0.577
Al12 0.444 0.866 0.166
Al13 0.500 0.000 0.500
Al14 0.556 0.134 0.834
Al15 0.556 0.722 0.423
Al16 0.722 0.556 0.923
Al17 0.722 0.799 0.166
Al18 0.799 0.134 0.077
Al19 0.799 0.722 0.666
Al20 0.866 0.201 0.423
Al21 0.866 0.444 0.666
Al22 0.875 0.125 0.750


# 9
DyS8Cl2: simulated powder XRD pattern (Cu Kα, 1.54184 Å), based on DFT lattice parameters and positions (PBE).
Lines closer than 0.1° are merged.

The 10 most intense peaks (10° ≤ 2θ ≤ 90°), in order of rising 2θ:
| 2theta | d [Å] | I/Imax |
| --- | --- | --- |
| 12.82 | 6.906 | 75.9 |
| 12.99 | 6.817 | 69.3 |
| 14.81 | 5.982 | 100.0 |
| 15.87 | 5.586 | 46.0 |
| 16.86 | 5.258 | 28.8 |
| 21.24 | 4.182 | 55.2 |
| 29.44 | 3.034 | 84.7 |
| 32.05 | 2.793 | 41.5 |
| 32.40 | 2.763 | 31.2 |
| 40.55 | 2.225 | 27.3 |

Structure:
Unit cell a=6.636 b=7.415 c=7.533 alpha=106.93 beta=105.62 gamma=97.59
Element x y z (fractional)
Dy1 0.000 0.000 0.000
S1 0.286 0.852 0.800
S2 0.318 0.336 0.282
S3 0.482 0.760 0.972
S4 0.493 0.247 0.472
S5 0.507 0.753 0.528
S6 0.518 0.240 0.028
S7 0.682 0.664 0.718
S8 0.714 0.148 0.200
Cl1 0.028 0.790 0.212
Cl2 0.972 0.210 0.788


# 10
PbS2F2: simulated powder XRD pattern (Cu Kα, 1.54184 Å), based on DFT lattice parameters and positions (PBE).
Lines closer than 0.1° are merged.

The 10 most intense peaks (10° ≤ 2θ ≤ 90°), in order of rising 2θ:
| 2theta | d [Å] | I/Imax |
| --- | --- | --- |
| 18.91 | 4.692 | 100.0 |
| 27.30 | 3.267 | 61.7 |
| 30.50 | 2.931 | 62.0 |
| 36.13 | 2.486 | 54.6 |
| 38.37 | 2.346 | 27.3 |
| 39.60 | 2.276 | 73.9 |
| 43.39 | 2.085 | 38.4 |
| 48.51 | 1.877 | 29.1 |
| 51.78 | 1.765 | 21.7 |
| 59.07 | 1.564 | 23.5 |

Structure:
Unit cell a=9.673 b=9.673 c=9.673 alpha=160.25 beta=160.25 gamma=28.07
Element x y z (fractional)
Pb1 0.000 0.000 0.000
S1 0.250 0.750 0.500
S2 0.750 0.250 0.500
F1 0.434 0.434 0.000
F2 0.566 0.566 0.000


# 11
NiPd7Pt4: simulated powder XRD pattern (Cu Kα, 1.54184 Å), based on DFT lattice parameters and positions (PBE).
Lines closer than 0.1° are merged.

The 10 most intense peaks (10° ≤ 2θ ≤ 90°), in order of rising 2θ:
| 2theta | d [Å] | I/Imax |
| --- | --- | --- |
| 12.98 | 6.822 | 6.4 |
| 37.53 | 2.397 | 2.9 |
| 39.71 | 2.270 | 100.0 |
| 46.17 | 1.966 | 48.4 |
| 64.18 | 1.451 | 3.1 |
| 67.29 | 1.391 | 13.1 |
| 67.43 | 1.389 | 16.1 |
| 81.02 | 1.187 | 7.9 |
| 81.16 | 1.185 | 26.6 |
| 85.62 | 1.134 | 8.2 |

Structure:
Unit cell a=2.778 b=2.778 c=27.289 alpha=90.00 beta=90.00 gamma=120.00
Element x y z (fractional)
Ni1 0.000 0.000 0.000
Pd1 0.000 0.000 0.246
Pd2 0.000 0.000 0.500
Pd3 0.000 0.000 0.754
Pd4 0.333 0.667 0.670
Pd5 0.333 0.667 0.925
Pd6 0.667 0.333 0.075
Pd7 0.667 0.333 0.330
Pt1 0.333 0.667 0.161
Pt2 0.333 0.667 0.415
Pt3 0.667 0.333 0.585
Pt4 0.667 0.333 0.839